(1)
Theoretical X-ray powder pattern of K2PrYSe4 for λ = 1.5418 Å (Cu Kα), from a DFT-relaxed cell (GGA-PBE, Alexandria).
Intensities are scaled so that the largest is 100.

Peak list (8 most intense, 10° ≤ 2θ ≤ 80°, low angle first)
2θ 11.5, d 7.702, intensity 38, hkl 0 0 1
2θ 28.5, d 3.130, intensity 100, hkl 1 1 1
2θ 36.4, d 2.470, intensity 15, hkl 2 0 -3
2θ 39.5, d 2.282, intensity 34, hkl 1 1 -3
2θ 42.0, d 2.150, intensity 36, hkl 0 2 0
2θ 51.6, d 1.772, intensity 18, hkl 2 2 -2
2θ 65.0, d 1.434, intensity 11, hkl 0 2 4
2θ 68.6, d 1.368, intensity 15, hkl 1 3 1

Cell and atoms:
a = 7.4489 Å, b = 4.3012 Å, c = 8.0918 Å
α = 90.00°, β = 107.86°, γ = 90.00°
Space group P2/m (No. 10)
Asymmetric unit:
K (0.0000, 0.0000, 0.0000) x1
K (0.5000, 0.5000, 0.0000) x1
Pr (0.0000, 0.5000, 0.5000) x1
Y (0.5000, 0.0000, 0.5000) x1
Se (0.2453, 0.0000, 0.7106) x2
Se (0.2726, 0.5000, 0.2932) x2



(2)
Theoretical X-ray powder pattern of KTbPr2 for λ = 1.5418 Å (Cu Kα), from a DFT-relaxed cell (GGA-PBE, Alexandria).
Intensities are scaled so that the largest is 100.

Peak list (8 most intense, 10° ≤ 2θ ≤ 80°, low angle first)
2θ 26.4, d 3.377, intensity 41, hkl 0 0 12
2θ 28.3, d 3.150, intensity 68, hkl 0 1 2
2θ 30.1, d 2.968, intensity 100, hkl 0 1 5
2θ 32.0, d 2.793, intensity 35, hkl 1 0 7
2θ 33.2, d 2.700, intensity 47, hkl 0 0 15
2θ 35.8, d 2.506, intensity 88, hkl 1 0 10
2θ 49.5, d 1.841, intensity 37, hkl 1 1 0
2θ 60.9, d 1.521, intensity 29, hkl 1 1 15

Cell and atoms:
a = 3.6824 Å, b = 3.6824 Å, c = 40.5197 Å
α = 90.00°, β = 90.00°, γ = 120.00°
Space group R-3m (No. 166, hexagonal axes)
Asymmetric unit:
K (0.0000, 0.0000, 0.0000) x3
Tb (0.0000, 0.0000, 0.5000) x3
Pr (0.0000, 0.0000, 0.0955) x6



(3)
Theoretical X-ray powder pattern of KPr2Te3 for λ = 1.5418 Å (Cu Kα), from a DFT-relaxed cell (GGA-PBE, Alexandria).
Intensities are scaled so that the largest is 100.

Peak list (8 most intense, 10° ≤ 2θ ≤ 80°, low angle first)
2θ 26.9, d 3.313, intensity 100, hkl 0 1 2
2θ 37.5, d 2.400, intensity 36, hkl 1 0 4
2θ 39.4, d 2.288, intensity 38, hkl 1 1 0
2θ 48.3, d 1.883, intensity 20, hkl 2 0 2
2θ 55.5, d 1.656, intensity 12, hkl 0 2 4
2θ 61.4, d 1.510, intensity 12, hkl 1 1 6
2θ 64.0, d 1.454, intensity 17, hkl 1 2 2
2θ 70.1, d 1.342, intensity 11, hkl 2 1 4

Cell and atoms:
a = 4.5769 Å, b = 4.5769 Å, c = 12.0642 Å
α = 90.00°, β = 90.00°, γ = 120.00°
Space group P-3m1 (No. 164)
Asymmetric unit:
K (0.0000, 0.0000, 0.0000) x1
Pr (0.3333, 0.6667, 0.6552) x2
Te (0.0000, 0.0000, 0.5000) x1
Te (0.3333, 0.6667, 0.1954) x2



(4)
Theoretical X-ray powder pattern of K3Pt for λ = 1.5418 Å (Cu Kα), from a DFT-relaxed cell (GGA-PBE, Alexandria).
Intensities are scaled so that the largest is 100.

Peak list (8 most intense, 10° ≤ 2θ ≤ 80°, low angle first)
2θ 11.9, d 7.460, intensity 100, hkl 0 0 1
2θ 15.3, d 5.802, intensity 100, hkl 1 0 0
2θ 22.5, d 3.955, intensity 62, hkl 0 1 1
2θ 28.3, d 3.149, intensity 28, hkl 2 0 -1
2θ 29.9, d 2.993, intensity 49, hkl 1 1 -2
2θ 30.7, d 2.913, intensity 44, hkl 0 1 2
2θ 36.5, d 2.463, intensity 35, hkl 2 1 -2
2θ 42.3, d 2.138, intensity 36, hkl 2 1 1

Cell and atoms:
a = 6.2979 Å, b = 4.6638 Å, c = 8.0917 Å
α = 90.00°, β = 112.80°, γ = 90.00°
Space group P2/m (No. 10)
Asymmetric unit:
K (0.0000, 0.0000, 0.0000) x1
K (0.3607, 0.5000, 0.7198) x2
Pt (0.5000, 0.0000, 0.0000) x1



(5)
Theoretical X-ray powder pattern of K3Pt for λ = 1.5418 Å (Cu Kα), from a DFT-relaxed cell (GGA-PBE, Alexandria).
Intensities are scaled so that the largest is 100.

Peak list (8 most intense, 10° ≤ 2θ ≤ 80°, low angle first)
2θ 16.3, d 5.447, intensity 72, hkl 1 0 1
2θ 17.2, d 5.143, intensity 67, hkl 0 2 0
2θ 18.4, d 4.814, intensity 100, hkl 1 1 1
2θ 21.6, d 4.114, intensity 53, hkl 2 1 0
2θ 29.2, d 3.057, intensity 56, hkl 1 1 2
2θ 30.8, d 2.902, intensity 67, hkl 1 3 1
2θ 32.7, d 2.742, intensity 39, hkl 3 0 1
2θ 32.9, d 2.722, intensity 86, hkl 2 3 0

Cell and atoms:
a = 8.9765 Å, b = 10.2858 Å, c = 6.8529 Å
α = 90.00°, β = 90.00°, γ = 90.00°
Space group Pnma (No. 62)
Asymmetric unit:
K (0.0343, 0.2500, 0.1115) x4
K (0.1637, 0.0647, 0.6419) x8
Pt (0.1265, 0.7500, 0.4391) x4



(6)
Theoretical X-ray powder pattern of KRb14Pt for λ = 1.5418 Å (Cu Kα), from a DFT-relaxed cell (GGA-PBE, Alexandria).
Intensities are scaled so that the largest is 100.

Peak list (8 most intense, 10° ≤ 2θ ≤ 80°, low angle first)
2θ 11.3, d 7.845, intensity 44, hkl 0 0 2
2θ 19.4, d 4.570, intensity 21, hkl 1 2 2
2θ 22.7, d 3.923, intensity 100, hkl 2 2 2
2θ 22.8, d 3.897, intensity 27, hkl 2 1 3
2θ 23.2, d 3.841, intensity 19, hkl 3 0 2
2θ 26.9, d 3.312, intensity 15, hkl 4 0 0
2θ 30.1, d 2.966, intensity 23, hkl 3 3 1
2θ 39.8, d 2.265, intensity 26, hkl 4 4 0

Cell and atoms:
a = 13.2450 Å, b = 12.4228 Å, c = 15.6877 Å
α = 90.00°, β = 90.00°, γ = 90.00°
Space group Amm2 (No. 38)
Asymmetric unit:
K (0.0000, 0.0000, 0.0000) x2
Rb (0.0000, 0.2448, 0.7398) x4
Rb (0.1685, 0.1674, 0.5090) x8
Rb (0.2090, 0.0000, 0.7647) x4
Rb (0.2601, 0.0000, 0.2065) x4
Rb (0.5000, 0.0000, 0.4441) x2
Rb (0.5000, 0.0000, 0.9709) x2
Rb (0.5000, 0.2142, 0.7050) x4
Pt (0.0000, 0.0000, 0.6300) x2



(7)
Theoretical X-ray powder pattern of K6Rb3Pt for λ = 1.5418 Å (Cu Kα), from a DFT-relaxed cell (GGA-PBE, Alexandria).
Intensities are scaled so that the largest is 100.

Peak list (8 most intense, 10° ≤ 2θ ≤ 80°, low angle first)
2θ 10.4, d 8.505, intensity 31, hkl 0 1 2
2θ 12.5, d 7.109, intensity 44, hkl 1 1 0
2θ 16.3, d 5.455, intensity 30, hkl 2 0 2
2θ 16.7, d 5.306, intensity 45, hkl 1 0 4
2θ 20.5, d 4.328, intensity 42, hkl 1 2 2
2θ 24.5, d 3.638, intensity 100, hkl 3 0 3
2θ 31.6, d 2.835, intensity 47, hkl 0 3 6
2θ 38.0, d 2.370, intensity 34, hkl 3 3 0

Cell and atoms:
a = 14.2189 Å, b = 14.2189 Å, c = 23.5205 Å
α = 90.00°, β = 90.00°, γ = 120.00°
Space group R-3m (No. 166, hexagonal axes)
Asymmetric unit:
K (0.1032, 0.2065, 0.0793) x18
K (0.1056, 0.2112, 0.4254) x18
Rb (0.1052, 0.5526, 0.4118) x18
Pt (0.0000, 0.0000, 0.0000) x3
Pt (0.0000, 0.0000, 0.5000) x3



(8)
Theoretical X-ray powder pattern of KRb2Tl6Pt for λ = 1.5418 Å (Cu Kα), from a DFT-relaxed cell (GGA-PBE, Alexandria).
Intensities are scaled so that the largest is 100.

Peak list (8 most intense, 10° ≤ 2θ ≤ 80°, low angle first)
2θ 12.2, d 7.269, intensity 100, hkl 0 0 6
2θ 26.0, d 3.422, intensity 36, hkl 0 1 11
2θ 28.3, d 3.157, intensity 38, hkl 2 0 5
2θ 30.0, d 2.975, intensity 49, hkl 0 2 7
2θ 35.3, d 2.543, intensity 45, hkl 1 2 2
2θ 36.0, d 2.492, intensity 34, hkl 2 1 4
2θ 44.3, d 2.046, intensity 30, hkl 3 0 9
2θ 46.4, d 1.955, intensity 27, hkl 2 2 0

Cell and atoms:
a = 7.8210 Å, b = 7.8210 Å, c = 43.6130 Å
α = 90.00°, β = 90.00°, γ = 120.00°
Space group R-3m (No. 166, hexagonal axes)
Asymmetric unit:
K (0.0000, 0.0000, 0.0749) x6
Rb (0.0000, 0.0000, 0.2260) x6
Rb (0.0000, 0.0000, 0.3991) x6
Tl (0.0516, 0.5258, 0.8087) x18
Tl (0.0628, 0.5314, 0.3563) x18
Pt (0.0000, 0.0000, 0.0000) x3
Pt (0.0000, 0.0000, 0.5000) x3